Computed powder diffractogram of Na2BiSb2Pd2 for a wavelength of 1.5418 Å, from a crystal structure in Alexandria, relaxed with GGA-PBE.
Kinematic intensities with the Lorentz-polarization factor, no thermal factor.

Cell and atoms:
```
data_Na2BiSb2Pd2
_cell_length_a 5.2549
_cell_length_b 5.2549
_cell_length_c 15.5198
_cell_angle_alpha 90.00
_cell_angle_beta 90.00
_cell_angle_gamma 90.00
_space_group_name_H-M_alt 'I 4/m m m'
_space_group_IT_number 139
_space_group_name_Hall '-I 4 2'
loop_
_atom_site_label
_atom_site_type_symbol
_atom_site_fract_x
_atom_site_fract_y
_atom_site_fract_z
Na1 Na 0.0000 0.0000 0.1983
Bi1 Bi 0.0000 0.0000 0.0000
Sb1 Sb 0.0000 0.0000 0.4062
Pd1 Pd 0.0000 0.5000 0.0000
```

Principal peaks in the range 2θ from 5° to 70°, in order of rising 2θ:
11.40°, intensity 100, (0 0 2)
23.95°, intensity 13, (1 1 0)
24.14°, intensity 14, (1 0 3)
33.53°, intensity 34, (1 0 5)
34.12°, intensity 34, (2 0 0)
36.09°, intensity 26, (2 0 2)
48.59°, intensity 24, (2 1 5)
49.03°, intensity 12, (2 2 0)